Simulated powder X-ray diffraction pattern of LiMn3Al2H6O12 for CuKα, from a crystal structure in the Materials Project, relaxed with GGA+U.
Lines closer than 0.1° are merged.

Most intense lines, 5° ≤ 2θ ≤ 70°, in order of rising 2θ:
(0 0 1), 9.3 deg, rel. 64
(0 0 2), 18.7 deg, rel. 100
(2 2 2), 36.7 deg, rel. 20
(0 3 -1), 37.4 deg, rel. 37
(2 2 4), 47.1 deg, rel. 16
(-2 1 3), 47.9 deg, rel. 33
(2 -1 5), 57.8 deg, rel. 9
(2 5 1), 62.1 deg, rel. 6
(4 1 1), 62.3 deg, rel. 6
(2 -4 0), 63.3 deg, rel. 6

Structure:
Cell lengths 5.9667, 7.8563, 9.6744 Å; angles 82.89, 80.70, 77.90 degrees
Space group P-1 (No. 2)
Inequivalent atoms, fractional coordinates:
Li 0.1572 0.3451 0.0004
Mn 0.0000 0.5000 0.5000
Mn 0.1642 0.8339 0.4989
Mn 0.3360 0.1663 0.5024
Mn 0.5000 0.5000 0.5000
Al 0.0000 0.0000 0.0000
Al 0.3312 0.6611 0.9976
Al 0.5000 0.0000 0.0000
H 0.0174 0.7609 0.2051
H 0.1774 0.0781 0.2037
H 0.1783 0.5859 0.7907
H 0.3290 0.9176 0.7870
H 0.3546 0.4286 0.2096
H 0.4967 0.7590 0.1992
O 0.0492 0.7767 0.1012
O 0.0527 0.2758 0.6094
O 0.1399 0.0725 0.4009
O 0.1516 0.5839 0.8930
O 0.1981 0.5967 0.5984
O 0.2023 0.0834 0.1003
O 0.3041 0.4020 0.3967
O 0.3037 0.9067 0.8926
O 0.3806 0.4422 0.1060
O 0.3817 0.9429 0.6101
O 0.4678 0.7334 0.3988
O 0.4854 0.2255 0.9041

***

Simulated powder X-ray diffraction pattern of LiVO2F2 for CuKα, from a crystal structure in the Materials Project, relaxed with GGA+U.
Lines closer than 0.1° are merged.

Most intense lines, 5° ≤ 2θ ≤ 70°, in order of rising 2θ:
(0 1 0), 14.9 deg, rel. 100
(0 1 1), 18.3 deg, rel. 82
(1 0 1), 18.4 deg, rel. 22
(1 1 -1), 23.6 deg, rel. 58
(1 1 1), 23.7 deg, rel. 82
(1 0 2), 26.2 deg, rel. 54
(2 2 0), 42.9 deg, rel. 74
(0 0 4), 43.7 deg, rel. 33
(4 0 0), 62.3 deg, rel. 19
(2 2 -4), 62.7 deg, rel. 19

Structure:
Cell lengths 5.9663, 5.9593, 8.2907 Å; angles 90.00, 90.43, 90.00 degrees
Space group P2 (No. 3)
Inequivalent atoms, fractional coordinates:
Li 0.2480 0.0000 0.3671
Li 0.2514 0.4970 0.1368
V 0.0000 0.0029 0.0000
V 0.0000 0.5163 0.5000
V 0.2669 0.2146 0.7658
O 0.0112 0.4538 0.7068
O 0.0163 0.0223 0.7768
O 0.2299 0.2193 0.9847
O 0.4605 0.0272 0.7315
F 0.2098 0.7697 0.0260
F 0.2205 0.7254 0.4846
F 0.2295 0.2518 0.5128
F 0.4583 0.4643 0.7674

***

Simulated powder X-ray diffraction pattern of LiP2WO8 for CuKα, from a crystal structure in the Materials Project, relaxed with GGA+U.
Lines closer than 0.1° are merged.

Most intense lines, 5° ≤ 2θ ≤ 70°, in order of rising 2θ:
(0 1 1), 16.4 deg, rel. 100
(1 0 -1), 19.8 deg, rel. 20
(1 0 1), 20.4 deg, rel. 26
(1 1 0), 20.7 deg, rel. 28
(1 1 -2), 30.1 deg, rel. 21
(1 1 2), 30.9 deg, rel. 19
(1 2 -1), 31.5 deg, rel. 23
(1 2 1), 31.9 deg, rel. 22
(0 2 2), 33.1 deg, rel. 13
(0 1 3), 35.7 deg, rel. 12

Structure:
Cell lengths 5.2889, 7.3405, 8.0378 Å; angles 90.00, 91.72, 90.00 degrees
Space group P2_1 (No. 4)
Inequivalent atoms, fractional coordinates:
Li 0.1228 0.0000 0.2118
P 0.2420 0.1030 0.5528
P 0.2764 0.7293 0.9416
W 0.2454 0.4215 0.2527
O 0.0100 0.0941 0.6741
O 0.0370 0.7418 0.8181
O 0.2253 0.9565 0.4253
O 0.2473 0.5348 0.0209
O 0.2488 0.3008 0.4795
O 0.2945 0.8797 0.0632
O 0.4758 0.0860 0.6765
O 0.4880 0.2321 0.1751

***

Simulated powder X-ray diffraction pattern of FeI3O9 for CuKα, from a crystal structure in the Materials Project, relaxed with GGA+U.
Lines closer than 0.1° are merged.

Most intense lines, 5° ≤ 2θ ≤ 70°, in order of rising 2θ:
(1 1 0), 19.0 deg, rel. 12
(1 1 1), 25.2 deg, rel. 100
(0 0 2), 33.0 deg, rel. 8
(3 0 0), 33.2 deg, rel. 27
(1 1 2), 38.4 deg, rel. 11
(2 2 1), 42.1 deg, rel. 17
(3 0 2), 47.5 deg, rel. 21
(1 1 3), 54.4 deg, rel. 10
(4 1 1), 54.6 deg, rel. 17
(3 3 0), 59.3 deg, rel. 8

Structure:
Cell lengths 9.3476, 9.3476, 5.4237 Å; angles 90.00, 90.00, 120.00 degrees
Space group P6_3 (No. 173)
Inequivalent atoms, fractional coordinates:
Fe 0.3333 0.6667 0.0000
I 0.0223 0.3382 0.3595
O 0.0545 0.2225 0.1220
O 0.1255 0.5478 0.2107
O 0.1903 0.7149 0.7708